1.
Computed XRD peak list
Compound: Pm6BiSe4
Radiation: Cu Kα X-rays
Structure: a PBE-relaxed structure
Lines closer than 0.1° are merged.

Top 10 peaks for 15 to 90 degrees two-theta, by intensity:
29.97 deg, 2.981 Å, I 100
28.13 deg, 3.173 Å, I 68
42.75 deg, 2.115 Å, I 58
29.07 deg, 3.071 Å, I 53
40.32 deg, 2.237 Å, I 27
51.94 deg, 1.761 Å, I 25
43.08 deg, 2.100 Å, I 25
31.42 deg, 2.847 Å, I 25
27.61 deg, 3.231 Å, I 24
33.40 deg, 2.683 Å, I 21

Cell and atoms:
```
data_Pm6BiSe4
_cell_length_a 4.2327
_cell_length_b 13.6894
_cell_length_c 21.4831
_cell_angle_alpha 90.00
_cell_angle_beta 90.00
_cell_angle_gamma 90.00
_space_group_name_H-M_alt 'C m c m'
_space_group_IT_number 63
_space_group_name_Hall '-C 2c 2'
loop_
_atom_site_label
_atom_site_fract_x
_atom_site_fract_y
_atom_site_fract_z
Pm1 0.0000 0.0000 0.0000
Pm2 0.0000 0.1536 0.2500
Pm3 0.0000 0.2729 0.5910
Pm4 0.0000 0.4503 0.1614
Bi1 0.0000 0.1704 0.7500
Se1 0.0000 0.0868 0.1234
Se2 0.0000 0.3584 0.0374
```

***

2.
Computed XRD peak list
Compound: UBMo
Radiation: Cu Kα X-rays
Structure: a PBE-relaxed structure
Lines closer than 0.1° are merged.

Top 10 peaks for 15 to 90 degrees two-theta, by intensity:
30.55 deg, 2.927 Å, I 100
41.14 deg, 2.194 Å, I 71
41.46 deg, 2.178 Å, I 47
57.77 deg, 1.596 Å, I 32
38.39 deg, 2.345 Å, I 26
75.40 deg, 1.261 Å, I 25
18.92 deg, 4.690 Å, I 23
68.89 deg, 1.363 Å, I 21
73.58 deg, 1.287 Å, I 16
60.07 deg, 1.540 Å, I 16

Cell and atoms:
```
data_UBMo
_cell_length_a 3.0803
_cell_length_b 3.0803
_cell_length_c 9.3797
_cell_angle_alpha 90.00
_cell_angle_beta 90.00
_cell_angle_gamma 90.00
_space_group_name_H-M_alt 'I 4 m m'
_space_group_IT_number 107
_space_group_name_Hall 'I 4 -2'
loop_
_atom_site_label
_atom_site_fract_x
_atom_site_fract_y
_atom_site_fract_z
U1 0.0000 0.0000 0.0000
B1 0.0000 0.0000 0.3065
Mo1 0.0000 0.0000 0.7277
```

***

3.
Computed XRD peak list
Compound: Hf3Ga6Pt
Radiation: Cu Kα X-rays
Structure: a PBE-relaxed structure
Lines closer than 0.1° are merged.

Top 10 peaks for 15 to 90 degrees two-theta, by intensity:
39.01 deg, 2.309 Å, I 100
36.15 deg, 2.485 Å, I 92
38.56 deg, 2.335 Å, I 67
19.01 deg, 4.669 Å, I 31
29.91 deg, 2.987 Å, I 30
63.08 deg, 1.474 Å, I 23
52.11 deg, 1.755 Å, I 22
58.37 deg, 1.581 Å, I 19
30.54 deg, 2.927 Å, I 18
49.55 deg, 1.840 Å, I 17

Cell and atoms:
```
data_Hf3Ga6Pt
_cell_length_a 10.6271
_cell_length_b 10.6271
_cell_length_c 10.8371
_cell_angle_alpha 90.00
_cell_angle_beta 90.00
_cell_angle_gamma 120.00
_space_group_name_H-M_alt 'R -3 c'
_space_group_IT_number 167
_space_group_name_Hall '-R 3 2"c'
loop_
_atom_site_label
_atom_site_fract_x
_atom_site_fract_y
_atom_site_fract_z
Hf1 0.0000 0.4325 0.2500
Ga1 0.0658 0.2062 0.3464
Pt1 0.0000 0.0000 0.0000
```

***

4.
Computed XRD peak list
Compound: Ga2SnCl5
Radiation: Cu Kα X-rays
Structure: a PBE-relaxed structure
Lines closer than 0.1° are merged.

Top 10 peaks for 15 to 90 degrees two-theta, by intensity:
24.83 deg, 3.586 Å, I 100
25.03 deg, 3.557 Å, I 79
31.48 deg, 2.842 Å, I 71
24.57 deg, 3.623 Å, I 65
29.20 deg, 3.058 Å, I 64
41.73 deg, 2.164 Å, I 58
30.09 deg, 2.970 Å, I 58
35.40 deg, 2.536 Å, I 54
32.97 deg, 2.717 Å, I 53
21.77 deg, 4.083 Å, I 51

Cell and atoms:
```
data_Ga2SnCl5
_cell_length_a 3.5861
_cell_length_b 21.7359
_cell_length_c 6.1891
_cell_angle_alpha 90.00
_cell_angle_beta 90.81
_cell_angle_gamma 90.00
_space_group_name_H-M_alt 'P 1 21/m 1'
_space_group_IT_number 11
_space_group_name_Hall '-P 2yb'
loop_
_atom_site_label
_atom_site_fract_x
_atom_site_fract_y
_atom_site_fract_z
Ga1 0.0782 0.1351 0.0129
Sn1 0.1053 0.7500 0.8712
Cl1 0.0338 0.2500 0.5113
Cl2 0.0878 0.0665 0.2635
Cl3 0.4375 0.6102 0.2206
```

***

5.
Computed XRD peak list
Compound: Tl2In2Cl5
Radiation: Cu Kα X-rays
Structure: a PBE-relaxed structure
Lines closer than 0.1° are merged.

Top 10 peaks for 15 to 90 degrees two-theta, by intensity:
23.23 deg, 3.829 Å, I 100
33.09 deg, 2.707 Å, I 50
40.96 deg, 2.203 Å, I 39
23.37 deg, 3.806 Å, I 34
23.10 deg, 3.851 Å, I 32
40.69 deg, 2.218 Å, I 28
47.49 deg, 1.915 Å, I 15
34.17 deg, 2.624 Å, I 14
29.74 deg, 3.004 Å, I 13
53.51 deg, 1.712 Å, I 13

Cell and atoms:
```
data_Tl2In2Cl5
_cell_length_a 21.6664
_cell_length_b 7.6118
_cell_length_c 7.7017
_cell_angle_alpha 90.00
_cell_angle_beta 90.00
_cell_angle_gamma 90.00
_space_group_name_H-M_alt 'I m a 2'
_space_group_IT_number 46
_space_group_name_Hall 'I 2 -2a'
loop_
_atom_site_label
_atom_site_fract_x
_atom_site_fract_y
_atom_site_fract_z
Tl1 0.1118 0.0248 0.0000
In1 0.0000 0.0000 0.4344
In2 0.2500 0.5243 0.0733
Cl1 0.0133 0.7470 0.1830
Cl2 0.1268 0.0655 0.4026
Cl3 0.2500 0.6186 0.4771
```

***

6.
Computed XRD peak list
Compound: K2Sn2Hg15
Radiation: Cu Kα X-rays
Structure: a PBE-relaxed structure
Lines closer than 0.1° are merged.

Top 10 peaks for 15 to 90 degrees two-theta, by intensity:
37.70 deg, 2.386 Å, I 100
33.44 deg, 2.679 Å, I 97
16.90 deg, 5.245 Å, I 59
32.60 deg, 2.747 Å, I 55
34.19 deg, 2.623 Å, I 37
35.62 deg, 2.521 Å, I 33
31.12 deg, 2.874 Å, I 30
28.54 deg, 3.127 Å, I 24
61.21 deg, 1.514 Å, I 19
72.86 deg, 1.298 Å, I 18

Cell and atoms:
```
data_K2Sn2Hg15
_cell_length_a 10.4910
_cell_length_b 10.4910
_cell_length_c 17.2459
_cell_angle_alpha 90.00
_cell_angle_beta 90.00
_cell_angle_gamma 120.00
_space_group_name_H-M_alt 'R -3 m'
_space_group_IT_number 166
_space_group_name_Hall '-R 3 2"'
loop_
_atom_site_label
_atom_site_fract_x
_atom_site_fract_y
_atom_site_fract_z
K1 0.0000 0.0000 0.1791
Sn1 0.0000 0.0000 0.4090
Hg1 0.0000 0.2991 0.5000
Hg2 0.0000 0.5000 0.0000
Hg3 0.0276 0.5138 0.6342
```